# 1
The following is a theoretical XRD peak list of Nd2SnHg3. It was derived from a cell relaxed with PBE, using a wavelength of 1.5418 Å.
Peak positions follow from Bragg's law for the DFT cell and can differ from measured ones.

The 10 most intense peaks (10 to 90 degrees two-theta), by angle:
- 23.97 deg, I 15
- 31.82 deg, I 100
- 36.11 deg, I 87
- 43.81 deg, I 19
- 48.89 deg, I 31
- 62.26 deg, I 30
- 62.43 deg, I 36
- 64.94 deg, I 16
- 85.35 deg, I 13
- 85.50 deg, I 16

Structural model:
Cell lengths 9.948, 9.381, 6.207 Å; angles 76.31, 66.37, 37.31 degrees
Fractional coordinates of all 12 atoms:
Nd 0.243 0.757 0.757
Nd 0.250 0.250 0.250
Nd 0.750 0.750 0.750
Nd 0.757 0.243 0.243
Sn 0.334 0.334 0.666
Sn 0.666 0.666 0.334
Hg 0.166 0.166 0.834
Hg 0.167 0.667 0.333
Hg 0.333 0.833 0.167
Hg 0.667 0.167 0.833
Hg 0.833 0.333 0.667
Hg 0.834 0.834 0.166



# 2
The following is a theoretical XRD peak list of SrNd4Hg4. It was derived from a cell relaxed with PBE, using a wavelength of 1.5418 Å.
Peak positions follow from Bragg's law for the DFT cell and can differ from measured ones.

The 10 most intense peaks (10 to 90 degrees two-theta), by angle:
- 14.68 deg, I 33
- 28.22 deg, I 19
- 31.44 deg, I 55
- 31.95 deg, I 100
- 35.32 deg, I 36
- 38.01 deg, I 15
- 44.11 deg, I 19
- 46.54 deg, I 15
- 57.25 deg, I 20
- 66.93 deg, I 14

Structural model:
Cell lengths 8.757, 8.757, 8.757 Å; angles 92.85, 92.85, 154.25 degrees
Fractional coordinates of all 9 atoms:
Sr 0.000 0.000 0.000
Nd 0.192 0.477 0.669
Nd 0.477 0.808 0.285
Nd 0.523 0.192 0.715
Nd 0.808 0.523 0.331
Hg 0.166 0.203 0.369
Hg 0.203 0.834 0.036
Hg 0.797 0.166 0.964
Hg 0.834 0.797 0.631



# 3
The following is a theoretical XRD peak list of Tb6NdHg. It was derived from a cell relaxed with PBE, using a wavelength of 1.5418 Å.
Peak positions follow from Bragg's law for the DFT cell and can differ from measured ones.

The 10 most intense peaks (10 to 90 degrees two-theta), by angle:
- 26.77 deg, I 16
- 28.37 deg, I 38
- 30.55 deg, I 93
- 33.02 deg, I 44
- 33.19 deg, I 23
- 34.36 deg, I 100
- 37.69 deg, I 22
- 46.95 deg, I 18
- 51.73 deg, I 32
- 58.87 deg, I 16

Structural model:
Cell lengths 6.343, 6.343, 6.343 Å; angles 94.96, 94.96, 94.96 degrees
Fractional coordinates of all 8 atoms:
Tb 0.041 0.761 0.560
Tb 0.239 0.440 0.959
Tb 0.440 0.959 0.239
Tb 0.560 0.041 0.761
Tb 0.761 0.560 0.041
Tb 0.959 0.239 0.440
Nd 0.500 0.500 0.500
Hg 0.000 0.000 0.000



# 4
The following is a theoretical XRD peak list of Tb3Nd5Hg2. It was derived from a cell relaxed with PBE, using a wavelength of 1.5418 Å.
Peak positions follow from Bragg's law for the DFT cell and can differ from measured ones.

The 10 most intense peaks (10 to 90 degrees two-theta), by angle:
- 26.37 deg, I 75
- 28.44 deg, I 32
- 30.11 deg, I 82
- 30.55 deg, I 77
- 31.62 deg, I 100
- 32.68 deg, I 42
- 33.72 deg, I 51
- 33.95 deg, I 50
- 34.26 deg, I 93
- 62.61 deg, I 42

Structural model:
Cell lengths 10.663, 10.663, 10.663 Å; angles 113.41, 79.12, 142.32 degrees
Fractional coordinates of all 20 atoms:
Tb 0.174 0.222 0.396
Tb 0.250 0.250 0.000
Tb 0.326 0.722 0.048
Tb 0.674 0.278 0.952
Tb 0.750 0.750 0.000
Tb 0.826 0.778 0.604
Nd 0.057 0.750 0.307
Nd 0.058 0.730 0.788
Nd 0.250 0.750 0.500
Nd 0.442 0.230 0.672
Nd 0.443 0.750 0.693
Nd 0.557 0.250 0.307
Nd 0.558 0.770 0.328
Nd 0.750 0.250 0.500
Nd 0.942 0.270 0.212
Nd 0.943 0.250 0.693
Hg 0.156 0.948 0.104
Hg 0.344 0.448 0.792
Hg 0.656 0.552 0.208
Hg 0.844 0.052 0.896